Record 1
Structure and theoretical powder diffraction line list of PCl5 (a cell relaxed with GGA-PBE; Cu Kα, 1.54184 Å).

Structure:
Cell: 8.7896 8.7896 9.2408 Å, 118.45 118.45 59.16°
Atoms (fractional coordinates):
P  0.0000  0.0000  0.0000
P  0.2399  0.2399  0.7238
P  0.7601  0.7601  0.2762
Cl  0.0333  0.6611  0.3330
Cl  0.1395  0.7868  0.8085
Cl  0.1613  0.1613  0.0742
Cl  0.2132  0.8605  0.1915
Cl  0.3048  0.3048  0.5893
Cl  0.3389  0.9667  0.6670
Cl  0.3518  0.3518  0.9712
Cl  0.5000  0.5000  0.5000
Cl  0.6482  0.6482  0.0288
Cl  0.6611  0.0333  0.3330
Cl  0.6952  0.6952  0.4107
Cl  0.7868  0.1395  0.8085
Cl  0.8387  0.8387  0.9258
Cl  0.8605  0.2132  0.1915
Cl  0.9667  0.3389  0.6670

Principal peaks in the range 10° ≤ 2θ ≤ 90°, low angle first:
- 2θ = 19.28°, d 4.605, rel. 100
- 2θ = 20.21°, d 4.394, rel. 46
- 2θ = 29.42°, d 3.036, rel. 42
- 2θ = 30.37°, d 2.943, rel. 50
- 2θ = 30.99°, d 2.886, rel. 35
- 2θ = 31.42°, d 2.847, rel. 61
- 2θ = 31.72°, d 2.821, rel. 28
- 2θ = 42.93°, d 2.107, rel. 27



Record 2
Structure and theoretical powder diffraction line list of Re2PCl (a cell relaxed with GGA-PBE; Cu Kα, 1.54184 Å).

Structure:
Cell: 4.4190 4.4190 4.4190 Å, 60.00 60.00 60.00°
Atoms (fractional coordinates):
Re  0.0000  0.0000  0.0000
Re  0.2500  0.2500  0.2500
P  0.7500  0.7500  0.7500
Cl  0.5000  0.5000  0.5000

Principal peaks in the range 10° ≤ 2θ ≤ 90°, low angle first:
- 2θ = 24.67°, d 3.608, rel. 59
- 2θ = 40.84°, d 2.210, rel. 100
- 2θ = 48.30°, d 1.884, rel. 31
- 2θ = 59.13°, d 1.562, rel. 17
- 2θ = 65.06°, d 1.434, rel. 13
- 2θ = 74.36°, d 1.276, rel. 34
- 2θ = 79.73°, d 1.203, rel. 10
- 2θ = 88.50°, d 1.105, rel. 11



Record 3
Structure and theoretical powder diffraction line list of Re2PCl13 (a cell relaxed with GGA-PBE; Cu Kα, 1.54184 Å).

Structure:
Cell: 9.1854 11.1719 9.7315 Å, 90.00 98.33 90.00°
Atoms (fractional coordinates):
Re  0.1705  0.2500  0.0922
Re  0.3198  0.2500  0.8662
Re  0.6802  0.7500  0.1338
Re  0.8295  0.7500  0.9078
P  0.2619  0.7500  0.4910
P  0.7381  0.2500  0.5090
Cl  0.0844  0.7500  0.9279
Cl  0.1508  0.0936  0.9173
Cl  0.1508  0.4064  0.9173
Cl  0.1883  0.7500  0.2926
Cl  0.1906  0.1024  0.2616
Cl  0.1906  0.3976  0.2616
Cl  0.1917  0.6071  0.5785
Cl  0.1917  0.8929  0.5785
Cl  0.2027  0.2500  0.6365
Cl  0.4378  0.2500  0.1057
Cl  0.4771  0.7500  0.5196
Cl  0.4794  0.1012  0.8178
Cl  0.4794  0.3988  0.8178
Cl  0.5206  0.6012  0.1822
Cl  0.5206  0.8988  0.1822
Cl  0.5229  0.2500  0.4804
Cl  0.5622  0.7500  0.8943
Cl  0.7973  0.7500  0.3635
Cl  0.8083  0.1071  0.4215
Cl  0.8083  0.3929  0.4215
Cl  0.8094  0.6024  0.7384
Cl  0.8094  0.8976  0.7384
Cl  0.8117  0.2500  0.7074
Cl  0.8492  0.5936  0.0827
Cl  0.8492  0.9064  0.0827
Cl  0.9156  0.2500  0.0721

Principal peaks in the range 10° ≤ 2θ ≤ 90°, low angle first:
- 2θ = 12.56°, d 7.050, rel. 88
- 2θ = 14.72°, d 6.020, rel. 26
- 2θ = 15.87°, d 5.586, rel. 65
- 2θ = 16.40°, d 5.406, rel. 100
- 2θ = 18.37°, d 4.831, rel. 18
- 2θ = 19.54°, d 4.544, rel. 14
- 2θ = 40.78°, d 2.213, rel. 15
- 2θ = 44.75°, d 2.025, rel. 30



Record 4
Structure and theoretical powder diffraction line list of TaP4S5Cl5 (a cell relaxed with GGA-PBE; Cu Kα, 1.54184 Å).

Structure:
Cell: 7.3024 13.8926 18.7499 Å, 90.00 103.17 90.00°
Atoms (fractional coordinates):
Ta  0.2282  0.1940  0.0302
Ta  0.2282  0.3060  0.5302
Ta  0.7718  0.6940  0.4698
Ta  0.7718  0.8060  0.9698
P  0.0835  0.5077  0.8086
P  0.0835  0.9923  0.3086
P  0.1951  0.1404  0.6141
P  0.1951  0.3596  0.1141
P  0.2672  0.1723  0.7397
P  0.2672  0.3277  0.2397
P  0.4046  0.5526  0.2021
P  0.4046  0.9474  0.7021
P  0.5954  0.0526  0.2979
P  0.5954  0.4474  0.7979
P  0.7328  0.6723  0.7603
P  0.7328  0.8277  0.2603
P  0.8049  0.6404  0.8859
P  0.8049  0.8596  0.3859
P  0.9165  0.0077  0.6914
P  0.9165  0.4923  0.1914
S  0.0161  0.1222  0.7655
S  0.0161  0.3778  0.2655
S  0.0789  0.5838  0.9073
S  0.0789  0.9162  0.4073
S  0.1290  0.6006  0.2056
S  0.1290  0.8994  0.7056
S  0.3789  0.0276  0.6027
S  0.3789  0.4724  0.1027
S  0.4743  0.0652  0.7761
S  0.4743  0.4348  0.2761
S  0.5257  0.5652  0.7239
S  0.5257  0.9348  0.2239
S  0.6211  0.5276  0.8973
S  0.6211  0.9724  0.3973
S  0.8710  0.1006  0.2944
S  0.8710  0.3994  0.7944
S  0.9211  0.0838  0.5927
S  0.9211  0.4162  0.0927
S  0.9839  0.6222  0.7345
S  0.9839  0.8778  0.2345
Cl  0.0802  0.7300  0.5299
Cl  0.0802  0.7700  0.0299
Cl  0.1109  0.1253  0.1253
Cl  0.1109  0.3747  0.6253
Cl  0.2654  0.0552  0.9708
Cl  0.2654  0.4448  0.4708
Cl  0.3336  0.1974  0.4524
Cl  0.3336  0.3026  0.9524
Cl  0.4732  0.7014  0.3903
Cl  0.4732  0.7986  0.8903
Cl  0.5268  0.2014  0.1097
Cl  0.5268  0.2986  0.6097
Cl  0.6664  0.6974  0.0476
Cl  0.6664  0.8026  0.5476
Cl  0.7346  0.5552  0.5292
Cl  0.7346  0.9448  0.0292
Cl  0.8891  0.6253  0.3747
Cl  0.8891  0.8747  0.8747
Cl  0.9198  0.2300  0.9701
Cl  0.9198  0.2700  0.4701

Principal peaks in the range 10° ≤ 2θ ≤ 90°, low angle first:
- 2θ = 11.60°, d 7.629, rel. 35
- 2θ = 13.92°, d 6.363, rel. 19
- 2θ = 13.99°, d 6.329, rel. 100
- 2θ = 15.33°, d 5.779, rel. 33
- 2θ = 15.90°, d 5.574, rel. 27
- 2θ = 16.03°, d 5.528, rel. 59
- 2θ = 18.61°, d 4.768, rel. 27
- 2θ = 19.78°, d 4.489, rel. 25



Copy entry 2 word for word.
Structure and theoretical powder diffraction line list of Re2PCl (a cell relaxed with GGA-PBE; Cu Kα, 1.54184 Å).

Structure:
Cell: 4.4190 4.4190 4.4190 Å, 60.00 60.00 60.00°
Atoms (fractional coordinates):
Re  0.0000  0.0000  0.0000
Re  0.2500  0.2500  0.2500
P  0.7500  0.7500  0.7500
Cl  0.5000  0.5000  0.5000

Principal peaks in the range 10° ≤ 2θ ≤ 90°, low angle first:
- 2θ = 24.67°, d 3.608, rel. 59
- 2θ = 40.84°, d 2.210, rel. 100
- 2θ = 48.30°, d 1.884, rel. 31
- 2θ = 59.13°, d 1.562, rel. 17
- 2θ = 65.06°, d 1.434, rel. 13
- 2θ = 74.36°, d 1.276, rel. 34
- 2θ = 79.73°, d 1.203, rel. 10
- 2θ = 88.50°, d 1.105, rel. 11



What is the formula in the first record? PCl5



Repeat the first record exactly.
Structure and theoretical powder diffraction line list of PCl5 (a cell relaxed with GGA-PBE; Cu Kα, 1.54184 Å).

Structure:
Cell: 8.7896 8.7896 9.2408 Å, 118.45 118.45 59.16°
Atoms (fractional coordinates):
P  0.0000  0.0000  0.0000
P  0.2399  0.2399  0.7238
P  0.7601  0.7601  0.2762
Cl  0.0333  0.6611  0.3330
Cl  0.1395  0.7868  0.8085
Cl  0.1613  0.1613  0.0742
Cl  0.2132  0.8605  0.1915
Cl  0.3048  0.3048  0.5893
Cl  0.3389  0.9667  0.6670
Cl  0.3518  0.3518  0.9712
Cl  0.5000  0.5000  0.5000
Cl  0.6482  0.6482  0.0288
Cl  0.6611  0.0333  0.3330
Cl  0.6952  0.6952  0.4107
Cl  0.7868  0.1395  0.8085
Cl  0.8387  0.8387  0.9258
Cl  0.8605  0.2132  0.1915
Cl  0.9667  0.3389  0.6670

Principal peaks in the range 10° ≤ 2θ ≤ 90°, low angle first:
- 2θ = 19.28°, d 4.605, rel. 100
- 2θ = 20.21°, d 4.394, rel. 46
- 2θ = 29.42°, d 3.036, rel. 42
- 2θ = 30.37°, d 2.943, rel. 50
- 2θ = 30.99°, d 2.886, rel. 35
- 2θ = 31.42°, d 2.847, rel. 61
- 2θ = 31.72°, d 2.821, rel. 28
- 2θ = 42.93°, d 2.107, rel. 27



Which formula does entry 1 have? PCl5